CdAg4Cl8: computed X-ray diffraction stick pattern (CuKα), based on a GGA-PBE-relaxed structure.
No peak broadening, texture or thermal motion is included.

Structural model:
a b c (Å): 7.4954 7.5507 7.9615
angles (deg): 116.61 117.92 90.44
Space group P-1 (No. 2)
Asymmetric unit:
Cd1 0.0000 0.0000 0.0000
Ag1 0.0000 0.0000 0.5000
Ag2 0.0000 0.5000 0.0000
Ag3 0.5000 0.0000 0.5000
Ag4 0.5000 0.5000 0.0000
Cl1 0.2252 0.2132 0.4492
Cl2 0.2382 0.7430 0.9958
Cl3 0.2470 0.2643 0.0059
Cl4 0.2500 0.7826 0.5040

Peak list (10 most intense, 15° ≤ 2θ ≤ 90°, low angle first)
d 3.601, I 36.7, (0 1 1)
d 3.240, I 28.1, (2 1 -1)
d 3.024, I 100.0, (0 0 2)
d 2.669, I 71.0, (2 -2 0)
d 2.649, I 71.7, (2 2 -2)
d 2.023, I 28.4, (-2 2 2)
d 2.013, I 29.0, (2 2 0)
d 1.979, I 30.0, (2 -2 2)
d 1.973, I 29.7, (2 2 -4)
d 1.593, I 26.2, (4 0 0)